(1)
Calculated PXRD pattern of Ti2Ge6W for Cu Ka, from a structure optimized by DFT (GGA-PBE).

Atomic structure:
Cell lengths 4.924, 8.527, 6.764 Å; angles 90.00, 90.00, 90.00 degrees
Space group C222 (No. 21)
Unique sites:
Ti: 0.250 0.250 0.167 x4
Ge: 0.000 0.331 0.500 x4
Ge: 0.244 0.417 0.833 x8
W: 0.000 0.000 0.500 x2

Main lines, low angle first (2θ from 10° to 90°):
| hkl | two_theta | I/Imax |
| --- | --- | --- |
| 2 0 1 | 38.93 | 100.0 |
| 0 0 3 | 39.99 | 33.4 |
| 2 0 2 | 45.57 | 67.5 |
| 2 0 4 | 67.16 | 19.4 |
| 0 6 1 | 67.31 | 19.2 |
| 0 6 2 | 72.07 | 18.5 |

---

(2)
Calculated PXRD pattern of NaPmAg2F8 for Cu Ka, from a structure optimized by DFT (GGA-PBE).

Atomic structure:
Cell lengths 5.527, 5.527, 11.106 Å; angles 90.00, 90.00, 90.00 degrees
Space group I-4m2 (No. 119)
Unique sites:
Na: 0.000 0.000 0.000 x2
Pm: 0.000 0.500 0.250 x2
Ag: 0.000 0.000 0.500 x2
Ag: 0.000 0.500 0.750 x2
F: 0.244 0.247 0.372 x16

Main lines, low angle first (2θ from 10° to 90°):
| hkl | two_theta | I/Imax |
| --- | --- | --- |
| 1 0 1 | 17.93 | 17.7 |
| 1 1 2 | 27.92 | 100.0 |
| 2 0 4 | 46.36 | 45.8 |
| 2 2 0 | 46.47 | 22.7 |
| 1 1 6 | 54.88 | 14.5 |
| 3 1 2 | 55.09 | 28.6 |

---

(3)
Calculated PXRD pattern of Na2ThF6 for Cu Ka, from a structure optimized by DFT (GGA-PBE).

Atomic structure:
Cell lengths 6.0736, 6.0736, 3.8656 Å; angles 90.00, 90.00, 120.00 degrees
Space group P321 (No. 150)
Unique sites:
Na: 0.3333 0.6667 0.4024 x2
Th: 0.0000 0.0000 0.0000 x1
F: 0.0000 0.2516 0.5000 x3
F: 0.0000 0.6256 0.0000 x3

Main lines, low angle first (2θ from 10° to 90°):
| hkl | two_theta | I/Imax |
| --- | --- | --- |
| 1 0 0 | 16.86 | 100.0 |
| 0 1 1 | 28.66 | 60.5 |
| 1 1 0 | 29.41 | 30.1 |
| 1 1 1 | 37.67 | 24.4 |
| 2 0 1 | 41.53 | 38.6 |
| 1 2 1 | 51.70 | 35.7 |

---

(4)
Calculated PXRD pattern of Be2NiOsSe for Cu Ka, from a structure optimized by DFT (GGA-PBE).

Atomic structure:
Cell lengths 3.934, 3.934, 4.407 Å; angles 90.00, 90.00, 90.00 degrees
Space group P4/mmm (No. 123)
Unique sites:
Be: 0.000 0.500 0.000 x2
Ni: 0.000 0.000 0.000 x1
Os: 0.500 0.500 0.500 x1
Se: 0.000 0.000 0.500 x1

Main lines, low angle first (2θ from 10° to 90°):
| hkl | two_theta | I/Imax |
| --- | --- | --- |
| 0 0 1 | 20.15 | 53.5 |
| 1 0 1 | 30.46 | 66.8 |
| 1 1 0 | 32.18 | 100.0 |
| 1 1 1 | 38.27 | 55.7 |
| 2 0 0 | 46.15 | 42.3 |
| 1 1 2 | 53.02 | 48.7 |